This entry pairs a crystal structure of Mn2NiCl6 with its simulated powder diffraction line list. Radiation: λ = 1.5418 Å (Cu Kα). Structure: a DFT-relaxed cell (GGA-PBE, Alexandria).
Neutral-atom scattering factors, no anomalous dispersion.

Largest 10 diffraction maxima, most intense first, 2θ from 10° to 90°:
| d_spacing | 2θ/deg | I (rel.) |
| --- | --- | --- |
| 5.253 | 16.9 | 100 |
| 2.790 | 32.1 | 78 |
| 2.144 | 42.2 | 66 |
| 1.837 | 49.6 | 40 |
| 2.943 | 30.4 | 27 |
| 2.160 | 41.8 | 21 |
| 1.787 | 51.1 | 19 |
| 1.395 | 67.1 | 14 |
| 1.522 | 60.9 | 14 |
| 1.653 | 55.6 | 12 |

Structure:
```
9
Lattice="3.181 1.837 5.802 -3.181 1.837 5.802 0.000 -3.674 5.802" Properties=species:S:1:pos:R:3 pbc="T T T"
Mn 0.000 0.000 3.214
Mn 0.000 0.000 14.193
Ni 0.000 0.000 0.000
Cl -0.952 -1.996 7.260
Cl -2.204 -0.174 10.147
Cl -1.253 1.822 7.260
Cl 1.253 -1.822 10.147
Cl 2.204 0.174 7.260
Cl 0.952 1.996 10.147
```